For KNiHg2, a PBE-relaxed structure gives the computed powder diffractogram in this record (CuKα).
Lines closer than 0.1° are merged.

Main lines, sorted by position (2θ from 10° to 80°):
(hkl)	2theta	I (rel.)
0 0 1	14.00	100.0
2 0 -1	23.08	35.0
2 0 -2	29.48	64.9
1 1 -2	32.78	47.4
0 2 0	39.66	60.4
3 1 0	42.26	41.9

Cell and atoms:
Lattice parameters (Å, degrees): 7.8778 4.5421 6.8473 90.00 112.49 90.00
Space group Cm (No. 8)
One atom of each set of equivalent atoms:
K: 0.0000 0.0000 0.0000 (multiplicity 2)
Ni: 0.3204 0.5000 0.4632 (multiplicity 2)
Hg: 0.1999 0.0000 0.6019 (multiplicity 2)
Hg: 0.4564 0.0000 0.3706 (multiplicity 2)